1.
The following is a theoretical PXRD pattern of MgPbN2. It was derived from DFT lattice parameters and positions (GGA-PBE), using λ = 1.5418 Å (Cu Kα).

The 10 most intense peaks (10 to 90 degrees two-theta), low angle first:
h k l, two_theta, I_rel
1 1 0, 19.06, 41
0 1 1, 19.91, 52
1 1 1, 24.64, 18
1 2 0, 29.00, 35
0 0 2, 31.22, 31
2 0 1, 33.02, 100
1 2 2, 43.13, 20
3 2 0, 51.35, 19
1 2 3, 56.72, 19
3 2 2, 61.33, 19

Crystal structure
```
data_MgPbN2
_chemical_formula_sum 'Mg4 Pb4 N8'
_cell_length_a 6.168
_cell_length_b 7.099
_cell_length_c 5.731
_cell_angle_alpha 90.00
_cell_angle_beta 90.00
_cell_angle_gamma 90.00
_symmetry_space_group_name_H-M 'P n a 21'
_symmetry_Int_Tables_number 33
loop_
_symmetry_equiv_pos_as_xyz
'x,y,z'
'-x,-y,z+1/2'
'-x+1/2,y+1/2,z+1/2'
'x+1/2,-y+1/2,z'
loop_
_atom_site_label
_atom_site_fract_x
_atom_site_fract_y
_atom_site_fract_z
Mg1 0.083 0.125 0.000
Pb1 0.088 0.625 0.001
N1 0.075 0.117 0.370
N2 0.089 0.633 0.391
```

=====

2.
The following is a theoretical PXRD pattern of EuCu4P3. It was derived from DFT lattice parameters and positions (GGA-PBE), using λ = 1.5418 Å (Cu Kα).

The 10 most intense peaks (10 to 90 degrees two-theta), low angle first:
h k l, two_theta, I_rel
1 0 0, 22.07, 25
1 0 2, 32.65, 56
1 1 1, 33.67, 100
0 0 3, 35.98, 30
1 1 2, 39.76, 83
1 0 3, 42.61, 21
2 0 0, 45.01, 73
2 1 2, 56.71, 22
2 0 3, 58.92, 27
2 2 0, 65.55, 23

Crystal structure
```
data_EuCu4P3
_chemical_formula_sum 'Eu1 Cu4 P3'
_cell_length_a 4.028
_cell_length_b 4.028
_cell_length_c 7.488
_cell_angle_alpha 90.00
_cell_angle_beta 90.00
_cell_angle_gamma 90.00
_symmetry_space_group_name_H-M 'P 4/m m m'
_symmetry_Int_Tables_number 123
_symmetry_space_group_name_Hall '-P 4 2'
loop_
_atom_site_label
_atom_site_fract_x
_atom_site_fract_y
_atom_site_fract_z
Eu1 0.000 0.000 0.000
Cu1 0.000 0.500 0.325
P1 0.000 0.000 0.500
P2 0.500 0.500 0.152
```